Entry 1:
Diffraction record for VOF. The X-ray diffraction stick pattern is simulated, not measured: it uses a structure optimized by DFT (PBE+U) and Cu Kα X-rays.
Neutral-atom scattering factors, no anomalous dispersion.

Crystal structure
Cell: 12.510 4.721 4.721 Å, 90.19 90.00 90.00°
Fractional coordinates of all 24 atoms:
V1 0.000 0.000 0.000
V2 0.124 0.500 0.441
V3 0.250 0.932 0.949
V4 0.376 0.500 0.441
V5 0.500 0.000 0.000
V6 0.624 0.441 0.500
V7 0.750 0.949 0.932
V8 0.876 0.441 0.500
O1 0.000 0.289 0.289
O2 0.124 0.787 0.154
O3 0.250 0.661 0.645
O4 0.376 0.787 0.154
O5 0.500 0.289 0.289
O6 0.624 0.154 0.787
O7 0.750 0.645 0.661
O8 0.876 0.154 0.787
F1 0.000 0.679 0.679
F2 0.126 0.180 0.763
F3 0.250 0.280 0.238
F4 0.374 0.180 0.763
F5 0.500 0.679 0.679
F6 0.626 0.763 0.180
F7 0.750 0.238 0.280
F8 0.874 0.763 0.180

Principal peaks in the range 2θ from 15° to 90°, low angle first:
d 3.338, 2θ 26.70, I = 100; d 2.607, 2θ 34.40, I = 51; d 2.282, 2θ 39.48, I = 27; d 1.752, 2θ 52.22, I = 29; d 1.748, 2θ 52.33, I = 28; d 1.563, 2θ 59.09, I = 12; d 1.416, 2θ 65.97, I = 12; d 1.406, 2θ 66.51, I = 21


Entry 2:
Diffraction record for P2W2O11. The X-ray diffraction stick pattern is simulated, not measured: it uses a structure optimized by DFT (PBE+U) and Cu Kα X-rays.
Neutral-atom scattering factors, no anomalous dispersion.

Crystal structure
Cell: 7.998 12.743 8.010 Å, 90.00 92.39 90.00°
Fractional coordinates of all 60 atoms:
P1 0.072 0.250 0.344
P2 0.250 0.004 0.616
P3 0.250 0.496 0.616
P4 0.252 0.750 0.106
P5 0.748 0.250 0.894
P6 0.750 0.504 0.384
P7 0.750 0.996 0.384
P8 0.928 0.750 0.656
W1 0.149 0.002 0.192
W2 0.149 0.498 0.192
W3 0.361 0.750 0.694
W4 0.362 0.250 0.690
W5 0.638 0.750 0.310
W6 0.639 0.250 0.306
W7 0.851 0.502 0.808
W8 0.851 0.998 0.808
O1 0.000 0.000 0.000
O2 0.000 0.500 0.000
O3 0.076 0.025 0.672
O4 0.076 0.475 0.672
O5 0.103 0.152 0.234
O6 0.103 0.348 0.234
O7 0.104 0.750 0.592
O8 0.169 0.653 0.184
O9 0.169 0.847 0.184
O10 0.204 0.250 0.492
O11 0.212 0.250 0.839
O12 0.227 0.750 0.917
O13 0.256 0.506 0.421
O14 0.256 0.994 0.421
O15 0.331 0.025 0.089
O16 0.331 0.475 0.089
O17 0.331 0.595 0.694
O18 0.331 0.905 0.694
O19 0.371 0.097 0.665
O20 0.371 0.403 0.665
O21 0.443 0.750 0.152
O22 0.443 0.750 0.484
O23 0.453 0.250 0.188
O24 0.547 0.750 0.812
O25 0.557 0.250 0.516
O26 0.557 0.250 0.848
O27 0.629 0.597 0.335
O28 0.629 0.903 0.335
O29 0.669 0.095 0.306
O30 0.669 0.405 0.306
O31 0.669 0.525 0.911
O32 0.669 0.975 0.911
O33 0.744 0.006 0.579
O34 0.744 0.494 0.579
O35 0.773 0.250 0.083
O36 0.788 0.750 0.161
O37 0.796 0.750 0.508
O38 0.831 0.153 0.816
O39 0.831 0.347 0.816
O40 0.896 0.250 0.408
O41 0.897 0.652 0.766
O42 0.897 0.848 0.766
O43 0.924 0.525 0.328
O44 0.924 0.975 0.328

Principal peaks in the range 2θ from 15° to 90°, low angle first:
d 4.982, 2θ 17.80, I = 100; d 4.279, 2θ 20.76, I = 67; d 4.181, 2θ 21.25, I = 55; d 4.000, 2θ 22.22, I = 55; d 3.637, 2θ 24.47, I = 81; d 3.518, 2θ 25.32, I = 74; d 3.186, 2θ 28.01, I = 70; d 2.459, 2θ 36.54, I = 35


Entry 3:
Diffraction record for VOF. The X-ray diffraction stick pattern is simulated, not measured: it uses a structure optimized by DFT (PBE+U) and Cu Kα X-rays.
Neutral-atom scattering factors, no anomalous dispersion.

Crystal structure
Cell: 4.679 5.638 10.543 Å, 96.53 90.81 92.01°
Fractional coordinates of all 24 atoms:
V1 0.000 0.000 0.000
V2 0.000 0.500 0.500
V3 0.013 0.251 0.761
V4 0.483 0.255 0.262
V5 0.500 0.000 0.500
V6 0.500 0.500 0.000
V7 0.517 0.745 0.738
V8 0.987 0.749 0.239
O1 0.190 0.521 0.677
O2 0.201 0.018 0.173
O3 0.205 0.274 0.933
O4 0.305 0.265 0.431
O5 0.695 0.735 0.569
O6 0.795 0.726 0.067
O7 0.799 0.982 0.827
O8 0.810 0.479 0.323
F1 0.201 0.776 0.418
F2 0.297 0.025 0.673
F3 0.301 0.528 0.175
F4 0.306 0.769 0.916
F5 0.694 0.231 0.084
F6 0.699 0.472 0.825
F7 0.703 0.975 0.327
F8 0.799 0.224 0.582

Principal peaks in the range 2θ from 15° to 90°, low angle first:
d 3.388, 2θ 26.31, I = 100; d 3.257, 2θ 27.38, I = 98; d 2.618, 2θ 34.25, I = 24; d 2.604, 2θ 34.44, I = 25; d 2.594, 2θ 34.57, I = 48; d 1.759, 2θ 51.98, I = 33; d 1.694, 2θ 54.14, I = 19; d 1.563, 2θ 59.09, I = 20


Entry 4:
Diffraction record for Mg6MnO8. The X-ray diffraction stick pattern is simulated, not measured: it uses a structure optimized by DFT (PBE+U) and Cu Kα X-rays.
Neutral-atom scattering factors, no anomalous dispersion.

Crystal structure
Cell: 5.994 5.994 5.994 Å, 60.00 60.00 60.00°
Fractional coordinates of all 15 atoms:
Mg1 0.000 0.000 0.500
Mg2 0.000 0.500 0.000
Mg3 0.000 0.500 0.500
Mg4 0.500 0.000 0.000
Mg5 0.500 0.000 0.500
Mg6 0.500 0.500 0.000
Mn1 0.000 0.000 0.000
O1 0.229 0.229 0.771
O2 0.229 0.771 0.229
O3 0.229 0.771 0.771
O4 0.250 0.250 0.250
O5 0.750 0.750 0.750
O6 0.771 0.229 0.229
O7 0.771 0.229 0.771
O8 0.771 0.771 0.229

Principal peaks in the range 2θ from 15° to 90°, low angle first:
d 4.894, 2θ 18.13, I = 58; d 2.556, 2θ 35.11, I = 17; d 2.447, 2θ 36.72, I = 13; d 2.119, 2θ 42.66, I = 100; d 1.631, 2θ 56.40, I = 10; d 1.499, 2θ 61.92, I = 54; d 1.278, 2θ 74.20, I = 9; d 1.224, 2θ 78.11, I = 16


Entry 5:
Diffraction record for Li7Mn5O12. The X-ray diffraction stick pattern is simulated, not measured: it uses a structure optimized by DFT (PBE+U) and Cu Kα X-rays.
Neutral-atom scattering factors, no anomalous dispersion.

Crystal structure
Cell: 5.995 6.508 6.514 Å, 97.09 103.38 113.76°
Fractional coordinates of all 24 atoms:
Li1 0.000 0.000 0.000
Li2 0.242 0.839 0.319
Li3 0.246 0.169 0.669
Li4 0.262 0.507 0.997
Li5 0.738 0.493 0.003
Li6 0.754 0.831 0.331
Li7 0.758 0.161 0.681
Mn1 0.002 0.672 0.669
Mn2 0.487 0.324 0.331
Mn3 0.500 0.000 0.000
Mn4 0.513 0.676 0.669
Mn5 0.998 0.328 0.331
O1 0.125 0.432 0.655
O2 0.133 0.104 0.337
O3 0.158 0.769 0.984
O4 0.388 0.243 0.017
O5 0.392 0.578 0.346
O6 0.403 0.920 0.685
O7 0.597 0.080 0.315
O8 0.608 0.422 0.654
O9 0.612 0.757 0.983
O10 0.842 0.231 0.016
O11 0.867 0.896 0.663
O12 0.875 0.568 0.345

Principal peaks in the range 2θ from 15° to 90°, low angle first:
d 5.210, 2θ 17.02, I = 10; d 4.838, 2θ 18.34, I = 100; d 2.609, 2θ 34.37, I = 17; d 2.474, 2θ 36.31, I = 23; d 2.180, 2θ 41.41, I = 35; d 2.049, 2θ 44.20, I = 29; d 2.047, 2θ 44.25, I = 28; d 1.496, 2θ 62.03, I = 17


Entry 6:
Diffraction record for FeO2. The X-ray diffraction stick pattern is simulated, not measured: it uses a structure optimized by DFT (PBE+U) and Cu Kα X-rays.
Neutral-atom scattering factors, no anomalous dispersion.

Crystal structure
Cell: 3.861 3.861 9.261 Å, 90.00 90.00 90.00°
Fractional coordinates of all 12 atoms:
Fe1 0.000 0.250 0.375
Fe2 0.000 0.750 0.625
Fe3 0.500 0.250 0.125
Fe4 0.500 0.750 0.875
O1 0.000 0.250 0.167
O2 0.000 0.250 0.583
O3 0.000 0.750 0.417
O4 0.000 0.750 0.833
O5 0.500 0.250 0.333
O6 0.500 0.250 0.917
O7 0.500 0.750 0.083
O8 0.500 0.750 0.667

Principal peaks in the range 2θ from 15° to 90°, low angle first:
d 3.564, 2θ 24.99, I = 100; d 2.352, 2θ 38.27, I = 13; d 2.315, 2θ 38.90, I = 18; d 1.930, 2θ 47.08, I = 29; d 1.697, 2θ 54.02, I = 20; d 1.670, 2θ 54.99, I = 16; d 1.483, 2θ 62.66, I = 15; d 1.263, 2θ 75.24, I = 11